Record 1
Simulated powder diffraction line list
Compound: Pr6Y2Th
Radiation: Cu Kα X-rays
Structure: a structure optimized by DFT (GGA-PBE)
Lines closer than 0.1° are merged.

Peak list (12 most intense, 2θ from 10° to 80°, in order of rising 2θ)
2θ = 28.2°, 3.169 Å, rel. 475; 2θ = 29.3°, 3.050 Å, rel. 433; 2θ = 31.1°, 2.877 Å, rel. 646; 2θ = 32.6°, 2.745 Å, rel. 1000; 2θ = 41.1°, 2.197 Å, rel. 305; 2θ = 49.8°, 1.830 Å, rel. 332; 2θ = 52.0°, 1.757 Å, rel. 74; 2θ = 55.1°, 1.667 Å, rel. 301; 2θ = 58.9°, 1.569 Å, rel. 361; 2θ = 59.9°, 1.544 Å, rel. 100; 2θ = 60.8°, 1.522 Å, rel. 190; 2θ = 77.4°, 1.232 Å, rel. 110

Structure:
```
data_Pr6Y2Th
_chemical_formula_sum 'Pr6 Y2 Th1'
_cell_length_a 3.6593
_cell_length_b 3.6593
_cell_length_c 27.4482
_cell_angle_alpha 90.00
_cell_angle_beta 90.00
_cell_angle_gamma 120.00
_space_group_name_H-M_alt 'P 1'
_space_group_IT_number 1
_space_group_name_Hall 'P 1'
loop_
_atom_site_label
_atom_site_fract_x
_atom_site_fract_y
_atom_site_fract_z
Pr1 0.0000 0.0000 0.0663
Pr2 0.0000 0.0000 0.2784
Pr3 0.0000 0.0000 0.7216
Pr4 0.0000 0.0000 0.9337
Pr5 0.3333 0.6667 0.3921
Pr6 0.3333 0.6667 0.6079
Y1 0.3333 0.6667 0.1706
Y2 0.3333 0.6667 0.8294
Th1 0.0000 0.0000 0.5000
```

Record 2
Simulated powder diffraction line list
Compound: PmSi2OsPd
Radiation: Cu Kα X-rays
Structure: a structure optimized by DFT (GGA-PBE)
Lines closer than 0.1° are merged.

Peak list (12 most intense, 2θ from 10° to 80°, in order of rising 2θ)
2θ = 17.4°, 5.109 Å, rel. 158; 2θ = 23.3°, 3.821 Å, rel. 247; 2θ = 34.2°, 2.625 Å, rel. 228; 2θ = 35.1°, 2.555 Å, rel. 193; 2θ = 35.5°, 2.531 Å, rel. 1000; 2θ = 44.0°, 2.060 Å, rel. 346; 2θ = 47.3°, 1.921 Å, rel. 94; 2θ = 56.8°, 1.621 Å, rel. 106; 2θ = 57.5°, 1.604 Å, rel. 189; 2θ = 63.2°, 1.470 Å, rel. 181; 2θ = 63.9°, 1.457 Å, rel. 114; 2θ = 75.3°, 1.262 Å, rel. 224

Structure:
```
data_PmSi2OsPd
_chemical_formula_sum 'Pm1 Si2 Os1 Pd1'
_cell_length_a 5.8813
_cell_length_b 5.8813
_cell_length_c 5.8813
_cell_angle_alpha 139.00
_cell_angle_beta 139.00
_cell_angle_gamma 59.38
_space_group_name_H-M_alt 'P 1'
_space_group_IT_number 1
_space_group_name_Hall 'P 1'
loop_
_atom_site_label
_atom_site_fract_x
_atom_site_fract_y
_atom_site_fract_z
Pm1 0.0000 0.0000 0.0000
Si1 0.3775 0.3775 0.0000
Si2 0.6225 0.6225 0.0000
Os1 0.7500 0.2500 0.5000
Pd1 0.2500 0.7500 0.5000
```